For Li3Cd3In, a cell relaxed with PBE gives the simulated X-ray powder pattern in this record (Cu Kα).
Neutral-atom scattering factors, no anomalous dispersion.

Cell and atoms:
```
data_Li3Cd3In
_chemical_formula_sum 'Li12 Cd12 In4'
_cell_length_a 9.566
_cell_length_b 9.568
_cell_length_c 6.372
_cell_angle_alpha 90.00
_cell_angle_beta 90.00
_cell_angle_gamma 90.00
_symmetry_space_group_name_H-M 'C m m m'
_symmetry_Int_Tables_number 65
_symmetry_space_group_name_Hall '-C 2 2'
loop_
_atom_site_label
_atom_site_fract_x
_atom_site_fract_y
_atom_site_fract_z
Li1 0.000 0.238 0.000
Li2 0.000 0.242 0.500
Li3 0.244 0.000 0.000
Cd1 0.000 0.500 0.253
Cd2 0.250 0.250 0.238
In1 0.194 0.000 0.500
```

Most intense lines, 10° ≤ 2θ ≤ 90°, low angle first:
two_theta, intensity
13.09, 19
18.55, 32
23.25, 21
26.35, 41
29.53, 28
31.03, 23
37.61, 51
38.83, 100
47.54, 19
68.69, 25

=====

For Li8CdIn2, a cell relaxed with PBE gives the simulated X-ray powder pattern in this record (Cu Kα).
Neutral-atom scattering factors, no anomalous dispersion.

Cell and atoms:
```
data_Li8CdIn2
_chemical_formula_sum 'Li16 Cd2 In4'
_cell_length_a 15.833
_cell_length_b 4.747
_cell_length_c 5.444
_cell_angle_alpha 90.00
_cell_angle_beta 90.02
_cell_angle_gamma 90.00
_symmetry_space_group_name_H-M 'C 1 2/m 1'
_symmetry_Int_Tables_number 12
_symmetry_space_group_name_Hall '-C 2y'
loop_
_atom_site_label
_atom_site_fract_x
_atom_site_fract_y
_atom_site_fract_z
Li1 0.042 0.000 0.234
Li2 0.096 0.500 0.957
Li3 0.141 0.000 0.663
Li4 0.183 0.500 0.403
Cd1 0.000 0.500 0.500
In1 0.220 0.000 0.144
```

Most intense lines, 10° ≤ 2θ ≤ 90°, low angle first:
two_theta, intensity
11.18, 28
19.79, 100
22.46, 44
25.23, 49
25.52, 85
30.18, 26
37.92, 96
38.55, 48
43.12, 26
44.36, 21